Entry 1:
# Rb3SbH3
Simulated X-ray powder pattern, Cu Kα (weighted mean of Kα1 and Kα2). Input: a crystal structure in Alexandria, relaxed with GGA-PBE.

Structure:
Cell lengths 7.838, 7.838, 7.838 Å; angles 69.69, 69.69, 69.69 degrees
Fractional coordinates of all 14 atoms:
Rb 0.146 0.748 0.355
Rb 0.252 0.645 0.854
Rb 0.355 0.146 0.748
Rb 0.645 0.854 0.252
Rb 0.748 0.355 0.146
Rb 0.854 0.252 0.645
Sb 0.249 0.249 0.249
Sb 0.751 0.751 0.751
H 0.001 0.498 0.250
H 0.250 0.001 0.498
H 0.498 0.250 0.001
H 0.502 0.750 0.999
H 0.750 0.999 0.502
H 0.999 0.502 0.750

Peak list (6 most intense, 10° ≤ 2θ ≤ 90°, in order of rising 2θ)
2θ (°)	Rel. int.
25.02	100
30.35	23
30.68	28
34.69	25
46.75	21
52.45	13

=====

Entry 2:
# AsOs2
Simulated X-ray powder pattern, Cu Kα (weighted mean of Kα1 and Kα2). Input: a crystal structure in Alexandria, relaxed with GGA-PBE.

Structure:
Cell lengths 9.584, 2.873, 7.517 Å; angles 90.00, 116.53, 90.00 degrees
Fractional coordinates of all 12 atoms:
As 0.000 0.000 0.000
As 0.079 0.500 0.396
As 0.500 0.500 0.000
As 0.579 0.000 0.396
Os 0.212 0.500 0.972
Os 0.247 0.000 0.678
Os 0.286 0.000 0.330
Os 0.468 0.500 0.657
Os 0.712 0.000 0.972
Os 0.747 0.500 0.678
Os 0.786 0.500 0.330
Os 0.968 0.000 0.657

Peak list (6 most intense, 10° ≤ 2θ ≤ 90°, in order of rising 2θ)
2θ (°)	Rel. int.
13.16	42
37.33	73
39.50	100
40.23	72
43.47	47
44.72	55

=====

Entry 3:
# NiHg2Pt
Simulated X-ray powder pattern, Cu Kα (weighted mean of Kα1 and Kα2). Input: a crystal structure in Alexandria, relaxed with GGA-PBE.

Structure:
Cell lengths 2.976, 2.976, 28.451 Å; angles 90.00, 90.00, 120.00 degrees
Fractional coordinates of all 12 atoms:
Ni 0.000 0.000 0.000
Ni 0.333 0.667 0.667
Ni 0.667 0.333 0.333
Hg 0.000 0.000 0.257
Hg 0.000 0.000 0.487
Hg 0.333 0.667 0.154
Hg 0.333 0.667 0.924
Hg 0.667 0.333 0.591
Hg 0.667 0.333 0.820
Pt 0.000 0.000 0.733
Pt 0.333 0.667 0.400
Pt 0.667 0.333 0.067

Peak list (6 most intense, 10° ≤ 2θ ≤ 90°, in order of rising 2θ)
2θ (°)	Rel. int.
28.23	24
37.10	100
37.95	17
38.34	18
43.36	53
62.41	24

=====

Entry 4:
# Rb6AuCl4
Simulated X-ray powder pattern, Cu Kα (weighted mean of Kα1 and Kα2). Input: a crystal structure in Alexandria, relaxed with GGA-PBE.

Structure:
Cell lengths 8.285, 8.285, 24.596 Å; angles 90.00, 90.00, 146.95 degrees
Fractional coordinates of all 22 atoms:
Rb 0.000 0.000 0.000
Rb 0.000 0.000 0.500
Rb 0.177 0.823 0.750
Rb 0.273 0.727 0.082
Rb 0.273 0.727 0.418
Rb 0.455 0.545 0.662
Rb 0.455 0.545 0.838
Rb 0.545 0.455 0.162
Rb 0.545 0.455 0.338
Rb 0.727 0.273 0.582
Rb 0.727 0.273 0.918
Rb 0.823 0.177 0.250
Au 0.154 0.846 0.250
Au 0.846 0.154 0.750
Cl 0.094 0.906 0.622
Cl 0.094 0.906 0.878
Cl 0.363 0.637 0.541
Cl 0.363 0.637 0.959
Cl 0.637 0.363 0.041
Cl 0.637 0.363 0.459
Cl 0.906 0.094 0.122
Cl 0.906 0.094 0.378

Peak list (6 most intense, 10° ≤ 2θ ≤ 90°, in order of rising 2θ)
2θ (°)	Rel. int.
24.44	95
26.33	100
27.57	34
35.31	26
38.18	27
45.85	30

=====

Entry 5:
# ZrTiCoPd
Simulated X-ray powder pattern, Cu Kα (weighted mean of Kα1 and Kα2). Input: a crystal structure in Alexandria, relaxed with GGA-PBE.

Structure:
Cell lengths 3.003, 3.003, 7.022 Å; angles 90.00, 90.00, 90.00 degrees
Fractional coordinates of all 4 atoms:
Zr 0.000 0.000 0.000
Ti 0.000 0.000 0.457
Co 0.500 0.500 0.274
Pd 0.500 0.500 0.696

Peak list (6 most intense, 10° ≤ 2θ ≤ 90°, in order of rising 2θ)
2θ (°)	Rel. int.
32.42	24
39.48	100
42.57	47
58.70	12
61.78	15
75.83	27

=====

Entry 6:
# PrTlCdPb
Simulated X-ray powder pattern, Cu Kα (weighted mean of Kα1 and Kα2). Input: a crystal structure in Alexandria, relaxed with GGA-PBE.

Structure:
Cell lengths 4.667, 4.800, 4.996 Å; angles 90.00, 90.00, 90.00 degrees
Fractional coordinates of all 4 atoms:
Pr 0.000 0.000 0.000
Tl 0.500 0.000 0.500
Cd 0.000 0.500 0.500
Pb 0.500 0.500 0.000

Peak list (6 most intense, 10° ≤ 2θ ≤ 90°, in order of rising 2θ)
2θ (°)	Rel. int.
32.20	100
35.95	19
37.47	17
38.58	15
62.28	15
64.31	14

=====

Entry 7:
# CsMgBr3
Simulated X-ray powder pattern, Cu Kα (weighted mean of Kα1 and Kα2). Input: a crystal structure in Alexandria, relaxed with GGA-PBE.

Structure:
Cell lengths 7.823, 7.823, 6.612 Å; angles 90.00, 90.00, 120.00 degrees
Fractional coordinates of all 10 atoms:
Cs 0.333 0.667 0.250
Cs 0.667 0.333 0.750
Mg 0.000 0.000 0.000
Mg 0.000 0.000 0.500
Br 0.157 0.315 0.750
Br 0.157 0.843 0.750
Br 0.315 0.157 0.250
Br 0.685 0.843 0.750
Br 0.843 0.157 0.250
Br 0.843 0.685 0.250

Peak list (6 most intense, 10° ≤ 2θ ≤ 90°, in order of rising 2θ)
2θ (°)	Rel. int.
26.97	25
29.63	100
38.03	22
46.43	21
49.33	23
54.52	19

=====

Entry 8:
# DyScS
Simulated X-ray powder pattern, Cu Kα (weighted mean of Kα1 and Kα2). Input: a crystal structure in Alexandria, relaxed with GGA-PBE.

Structure:
Cell lengths 3.686, 3.686, 17.710 Å; angles 90.00, 90.00, 120.00 degrees
Fractional coordinates of all 9 atoms:
Dy 0.000 0.000 0.000
Dy 0.333 0.667 0.667
Dy 0.667 0.333 0.333
Sc 0.000 0.000 0.507
Sc 0.333 0.667 0.174
Sc 0.667 0.333 0.840
S 0.000 0.000 0.762
S 0.333 0.667 0.429
S 0.667 0.333 0.095

Peak list (6 most intense, 10° ≤ 2θ ≤ 90°, in order of rising 2θ)
2θ (°)	Rel. int.
15.01	53
28.41	45
29.75	79
34.64	100
49.46	36
50.15	33

=====

Entry 9:
# Nd4Cd3
Simulated X-ray powder pattern, Cu Kα (weighted mean of Kα1 and Kα2). Input: a crystal structure in Alexandria, relaxed with GGA-PBE.

Structure:
Cell lengths 8.723, 8.723, 8.723 Å; angles 113.69, 113.69, 113.69 degrees
Fractional coordinates of all 14 atoms:
Nd 0.000 0.000 0.000
Nd 0.072 0.775 0.628
Nd 0.225 0.372 0.928
Nd 0.372 0.928 0.225
Nd 0.500 0.500 0.500
Nd 0.628 0.072 0.775
Nd 0.775 0.628 0.072
Nd 0.928 0.225 0.372
Cd 0.136 0.551 0.270
Cd 0.270 0.136 0.551
Cd 0.449 0.730 0.864
Cd 0.551 0.270 0.136
Cd 0.730 0.864 0.449
Cd 0.864 0.449 0.730

Peak list (6 most intense, 10° ≤ 2θ ≤ 90°, in order of rising 2θ)
2θ (°)	Rel. int.
32.44	100
32.66	99
46.69	35
57.86	18
58.00	35
58.42	17

=====

Entry 10:
# Y4PdSe2Cl
Simulated X-ray powder pattern, Cu Kα (weighted mean of Kα1 and Kα2). Input: a crystal structure in Alexandria, relaxed with GGA-PBE.

Structure:
Cell lengths 7.121, 3.959, 7.216 Å; angles 90.00, 108.33, 90.00 degrees
Fractional coordinates of all 8 atoms:
Y 0.234 0.000 0.240
Y 0.239 0.500 0.745
Y 0.761 0.500 0.255
Y 0.766 0.000 0.760
Pd 0.000 0.500 0.000
Se 0.000 0.000 0.500
Se 0.500 0.500 0.500
Cl 0.500 0.000 0.000

Peak list (6 most intense, 10° ≤ 2θ ≤ 90°, in order of rising 2θ)
2θ (°)	Rel. int.
30.77	52
31.05	100
43.11	19
44.06	37
44.51	35
56.23	18

=====

Entry 11:
# Tl2FeSb2
Simulated X-ray powder pattern, Cu Kα (weighted mean of Kα1 and Kα2). Input: a crystal structure in Alexandria, relaxed with GGA-PBE.

Structure:
Cell lengths 6.745, 6.745, 6.037 Å; angles 90.00, 90.00, 90.00 degrees
Fractional coordinates of all 10 atoms:
Tl 0.180 0.320 0.000
Tl 0.320 0.820 0.000
Tl 0.680 0.180 0.000
Tl 0.820 0.680 0.000
Fe 0.000 0.000 0.500
Fe 0.500 0.500 0.500
Sb 0.153 0.653 0.500
Sb 0.347 0.153 0.500
Sb 0.653 0.847 0.500
Sb 0.847 0.347 0.500

Peak list (6 most intense, 10° ≤ 2θ ≤ 90°, in order of rising 2θ)
2θ (°)	Rel. int.
26.43	16
29.59	41
33.20	100
42.38	17
54.84	24
58.45	22

=====

Entry 12:
# Ca3ZnSn3
Simulated X-ray powder pattern, Cu Kα (weighted mean of Kα1 and Kα2). Input: a crystal structure in Alexandria, relaxed with GGA-PBE.

Structure:
Cell lengths 6.183, 6.183, 15.234 Å; angles 108.15, 108.15, 45.53 degrees
Fractional coordinates of all 14 atoms:
Ca 0.033 0.033 0.384
Ca 0.095 0.095 0.920
Ca 0.238 0.238 0.229
Ca 0.762 0.762 0.771
Ca 0.905 0.905 0.080
Ca 0.967 0.967 0.616
Zn 0.263 0.263 0.607
Zn 0.737 0.737 0.393
Sn 0.362 0.362 0.456
Sn 0.379 0.379 0.924
Sn 0.471 0.471 0.764
Sn 0.529 0.529 0.236
Sn 0.621 0.621 0.076
Sn 0.638 0.638 0.544

Peak list (6 most intense, 10° ≤ 2θ ≤ 90°, in order of rising 2θ)
2θ (°)	Rel. int.
20.32	76
29.99	75
31.41	32
34.38	44
36.80	100
37.61	83